No. 1
HoNbW2C3: simulated powder X-ray diffraction pattern (Cu Kα (weighted mean of Kα1 and Kα2)), based on a structure optimized by DFT (GGA-PBE).
Lines closer than 0.1° are merged.

Most intense lines, 5 to 70 degrees two-theta, in order of rising 2θ:
2θ = 19.70°, I = 19, hkl 2 0 -1; 2θ = 33.17°, I = 39, hkl 2 0 -2; 2θ = 33.74°, I = 43, hkl 4 0 0; 2θ = 34.52°, I = 14, hkl 0 0 2; 2θ = 35.26°, I = 100, hkl 1 1 1; 2θ = 38.05°, I = 78, hkl 3 1 -1; 2θ = 40.02°, I = 14, hkl 4 0 -2; 2θ = 43.39°, I = 32, hkl 2 0 2; 2θ = 57.34°, I = 16, hkl 0 2 0; 2θ = 58.74°, I = 31, hkl 3 1 -3; 2θ = 59.42°, I = 19, hkl 5 1 1; 2θ = 68.22°, I = 14, hkl 4 2 0

Structure:
```
data_HoNbW2C3
_chemical_formula_sum 'Ho2 Nb2 W4 C6'
_space_group_name_H-M_alt 'C 1 m 1'
_space_group_IT_number 8
_space_group_name_Hall 'C -2y'
_cell_length_a 11.217
_cell_length_b 3.214
_cell_length_c 5.486
_cell_angle_alpha 90.00
_cell_angle_beta 108.68
_cell_angle_gamma 90.00
loop_
_atom_site_label
_atom_site_fract_x
_atom_site_fract_y
_atom_site_fract_z
Ho1 0.000 0.000 0.000
Nb1 0.227 0.000 0.678
W1 0.255 0.500 0.161
W2 0.454 0.000 0.486
C1 0.111 0.500 0.808
C2 0.350 0.500 0.570
C3 0.355 0.000 0.076
```

***

No. 2
CuSnMo4C2: simulated powder X-ray diffraction pattern (Cu Kα (weighted mean of Kα1 and Kα2)), based on a structure optimized by DFT (GGA-PBE).
Lines closer than 0.1° are merged.

Most intense lines, 5 to 70 degrees two-theta, in order of rising 2θ:
2θ = 6.71°, I = 2, hkl 0 0 1; 2θ = 33.01°, I = 24, hkl 1 0 0; 2θ = 34.04°, I = 3, hkl 0 0 5; 2θ = 35.79°, I = 4, hkl 1 0 2; 2θ = 39.02°, I = 100, hkl 1 0 3; 2θ = 41.12°, I = 16, hkl 0 0 6; 2θ = 48.14°, I = 2, hkl 1 0 5; 2θ = 53.71°, I = 13, hkl 1 0 6; 2θ = 58.95°, I = 21, hkl 1 1 0; 2θ = 66.42°, I = 4, hkl 1 0 8; 2θ = 69.25°, I = 3, hkl 2 0 0; 2θ = 69.85°, I = 2, hkl 1 1 5

Structure:
```
data_CuSnMo4C2
_chemical_formula_sum 'Cu1 Sn1 Mo4 C2'
_space_group_name_H-M_alt 'P -6 m 2'
_space_group_IT_number 187
_space_group_name_Hall 'P -6 2'
_cell_length_a 3.1334
_cell_length_b 3.1334
_cell_length_c 13.1707
_cell_angle_alpha 90.00
_cell_angle_beta 90.00
_cell_angle_gamma 120.00
loop_
_atom_site_label
_atom_site_fract_x
_atom_site_fract_y
_atom_site_fract_z
Cu1 0.0000 0.0000 0.0000
Sn1 0.6667 0.3333 0.5000
Mo1 0.0000 0.0000 0.3241
Mo2 0.6667 0.3333 0.1542
C1 0.3333 0.6667 0.2382
```